[1]
Structure and theoretical XRD peak list of AcHoTlAg (a cell relaxed with PBE; copper Kα).
Intensities are scaled so that the largest is 100.

Principal peaks in the range 10 to 80 degrees two-theta, most intense first:
2θ 32.4, intensity 100
2θ 33.4, intensity 51
2θ 59.1, intensity 36
2θ 48.0, intensity 26
2θ 57.1, intensity 15
2θ 26.0, intensity 12
2θ 67.8, intensity 10
2θ 79.5, intensity 8

```
data_AcHoTlAg
_symmetry_space_group_name_H-M 'P 4 m m'
_symmetry_Int_Tables_number 99
_cell_length_a 3.7915
_cell_length_b 3.7915
_cell_length_c 8.0743
_cell_angle_alpha 90.00
_cell_angle_beta 90.00
_cell_angle_gamma 90.00
loop_
_symmetry_equiv_pos_as_xyz
'x,y,z'
'-y,x,z'
'-x,-y,z'
'y,-x,z'
'-x,y,z'
'y,x,z'
'x,-y,z'
'-y,-x,z'
loop_
_atom_site_label
_atom_site_fract_x
_atom_site_fract_y
_atom_site_fract_z
Ac1 0.0000 0.0000 0.0000
Ho1 0.0000 0.0000 0.4711
Tl1 0.5000 0.5000 0.7100
Ag1 0.5000 0.5000 0.2798
```


[2]
Structure and theoretical XRD peak list of HoSi2Ru4 (a cell relaxed with PBE; copper Kα).
Intensities are scaled so that the largest is 100.

Principal peaks in the range 10 to 80 degrees two-theta, most intense first:
2θ 35.4, intensity 100
2θ 37.9, intensity 46
2θ 41.3, intensity 35
2θ 44.8, intensity 28
2θ 61.9, intensity 24
2θ 47.0, intensity 23
2θ 66.9, intensity 22
2θ 50.2, intensity 14

```
data_HoSi2Ru4
_symmetry_space_group_name_H-M 'P 42/m n m'
_symmetry_Int_Tables_number 136
_symmetry_space_group_name_Hall '-P 4n 2n'
_cell_length_a 7.4987
_cell_length_b 7.4987
_cell_length_c 3.8674
_cell_angle_alpha 90.00
_cell_angle_beta 90.00
_cell_angle_gamma 90.00
loop_
_atom_site_label
_atom_site_fract_x
_atom_site_fract_y
_atom_site_fract_z
Ho1 0.0000 0.0000 0.0000
Si1 0.2178 0.2178 0.5000
Ru1 0.0791 0.6600 0.5000
```